Starting from a crystal structure in Alexandria, relaxed with GGA-PBE, the powder XRD pattern of RbNpCu2Br8 was calculated for copper Kα.

Structure:
abc: 7.6031 7.6031 9.3759
angles: 90.00 90.00 120.00
Atoms (fractional coordinates):
Rb1 0.0000 0.0000 0.0000
Np1 0.0000 0.0000 0.5000
Cu1 0.3333 0.6667 0.2001
Cu2 0.6667 0.3333 0.7999
Br1 0.1660 0.3320 0.3245
Br2 0.1660 0.8340 0.3245
Br3 0.3320 0.1660 0.6755
Br4 0.3333 0.6667 0.9569
Br5 0.6667 0.3333 0.0431
Br6 0.6680 0.8340 0.3245
Br7 0.8340 0.1660 0.6755
Br8 0.8340 0.6680 0.6755

The 12 most intense peaks (5° ≤ 2θ ≤ 70°), in order of rising 2θ:
2θ 13.4, intensity 39; 2θ 16.5, intensity 100; 2θ 23.3, intensity 28; 2θ 23.4, intensity 38; 2θ 28.7, intensity 24; 2θ 30.3, intensity 37; 2θ 33.3, intensity 47; 2θ 37.4, intensity 26; 2θ 41.1, intensity 22; 2θ 45.5, intensity 15; 2θ 47.6, intensity 28; 2θ 47.9, intensity 33

---

Starting from a crystal structure in Alexandria, relaxed with GGA-PBE, the powder XRD pattern of CuBrO2 was calculated for copper Kα.

Structure:
abc: 6.6618 6.6618 3.8254
angles: 90.00 90.00 115.39
Atoms (fractional coordinates):
Cu1 0.2352 0.2352 0.0000
Cu2 0.7648 0.7648 0.5000
Br1 0.1312 0.8688 0.7500
Br2 0.8688 0.1312 0.2500
O1 0.3236 0.4955 0.2835
O2 0.4955 0.3236 0.7165
O3 0.5045 0.6764 0.2165
O4 0.6764 0.5045 0.7835

The 12 most intense peaks (5° ≤ 2θ ≤ 70°), in order of rising 2θ:
2θ 14.7, intensity 45; 2θ 15.7, intensity 97; 2θ 26.8, intensity 27; 2θ 27.6, intensity 100; 2θ 28.2, intensity 94; 2θ 29.7, intensity 30; 2θ 35.8, intensity 42; 2θ 38.0, intensity 59; 2θ 40.9, intensity 66; 2θ 45.7, intensity 35; 2θ 48.6, intensity 36; 2θ 54.5, intensity 37

---

Starting from a crystal structure in Alexandria, relaxed with GGA-PBE, the powder XRD pattern of Cu3BrO was calculated for copper Kα.

Structure:
abc: 4.1314 4.1314 4.1314
angles: 90.00 90.00 90.00
Atoms (fractional coordinates):
Cu1 0.0000 0.0000 0.5000
Cu2 0.0000 0.5000 0.0000
Cu3 0.5000 0.0000 0.0000
Br1 0.5000 0.5000 0.5000
O1 0.0000 0.0000 0.0000

The 5 most intense peaks (5° ≤ 2θ ≤ 70°), in order of rising 2θ:
2θ 30.6, intensity 3; 2θ 37.7, intensity 100; 2θ 43.8, intensity 60; 2θ 54.4, intensity 1; 2θ 63.7, intensity 36

---

Starting from a crystal structure in Alexandria, relaxed with GGA-PBE, the powder XRD pattern of PuCuBrO4 was calculated for copper Kα.

Structure:
abc: 6.5699 6.5699 6.5100
angles: 103.52 103.52 64.00
Atoms (fractional coordinates):
Pu1 0.1307 0.1307 0.2308
Pu2 0.8693 0.8693 0.7692
Cu1 0.2547 0.2547 0.8291
Cu2 0.7453 0.7453 0.1709
Br1 0.3792 0.3792 0.2021
Br2 0.6208 0.6208 0.7979
O1 0.0943 0.0943 0.9106
O2 0.1293 0.5984 0.7711
O3 0.1622 0.1622 0.5348
O4 0.4016 0.8707 0.2289
O5 0.5984 0.1293 0.7711
O6 0.8378 0.8378 0.4652
O7 0.8707 0.4016 0.2289
O8 0.9057 0.9057 0.0894

The 12 most intense peaks (5° ≤ 2θ ≤ 70°), in order of rising 2θ:
2θ 15.2, intensity 62; 2θ 18.6, intensity 35; 2θ 19.2, intensity 62; 2θ 22.3, intensity 40; 2θ 25.6, intensity 100; 2θ 28.2, intensity 75; 2θ 28.5, intensity 60; 2θ 33.5, intensity 30; 2θ 34.7, intensity 37; 2θ 35.0, intensity 30; 2θ 38.7, intensity 36; 2θ 42.7, intensity 54

---

Starting from a crystal structure in Alexandria, relaxed with GGA-PBE, the powder XRD pattern of CuSbBrO2 was calculated for copper Kα.

Structure:
abc: 7.0911 4.0053 7.4359
angles: 90.00 117.15 90.00
Atoms (fractional coordinates):
Cu1 0.0815 0.2500 0.3905
Cu2 0.9185 0.7500 0.6095
Sb1 0.4472 0.7500 0.6687
Sb2 0.5528 0.2500 0.3313
Br1 0.2146 0.7500 0.9456
Br2 0.7854 0.2500 0.0544
O1 0.1337 0.7500 0.4623
O2 0.4054 0.2500 0.5329
O3 0.5946 0.7500 0.4671
O4 0.8663 0.2500 0.5377

The 12 most intense peaks (5° ≤ 2θ ≤ 70°), in order of rising 2θ:
2θ 13.4, intensity 41; 2θ 26.0, intensity 100; 2θ 26.4, intensity 27; 2θ 28.8, intensity 87; 2θ 32.5, intensity 35; 2θ 33.8, intensity 47; 2θ 35.2, intensity 17; 2θ 36.7, intensity 51; 2θ 45.3, intensity 43; 2θ 53.6, intensity 27; 2θ 54.6, intensity 33; 2θ 59.7, intensity 23

---

Starting from a crystal structure in Alexandria, relaxed with GGA-PBE, the powder XRD pattern of Sr2Cu3Br2O4 was calculated for copper Kα.

Structure:
abc: 7.9117 7.9117 7.9117
angles: 139.19 139.19 59.09
Atoms (fractional coordinates):
Sr1 0.1300 0.1300 0.0000
Sr2 0.8700 0.8700 0.0000
Cu1 0.0000 0.5000 0.5000
Cu2 0.5000 0.0000 0.5000
Cu3 0.5000 0.5000 0.0000
Br1 0.2500 0.7500 0.5000
Br2 0.7500 0.2500 0.5000
O1 0.2502 0.2502 0.5005
O2 0.2502 0.7498 0.0000
O3 0.7498 0.2502 0.0000
O4 0.7498 0.7498 0.4995

The 12 most intense peaks (5° ≤ 2θ ≤ 70°), in order of rising 2θ:
2θ 12.9, intensity 18; 2θ 25.2, intensity 58; 2θ 25.9, intensity 24; 2θ 32.5, intensity 84; 2θ 34.8, intensity 100; 2θ 36.5, intensity 16; 2θ 41.6, intensity 31; 2θ 46.6, intensity 48; 2θ 53.2, intensity 15; 2θ 59.4, intensity 41; 2θ 63.7, intensity 23; 2θ 68.0, intensity 14

---

Starting from a crystal structure in Alexandria, relaxed with GGA-PBE, the powder XRD pattern of Sr2Cu2TeBr2O6 was calculated for copper Kα.

Structure:
abc: 9.5176 5.2882 9.4748
angles: 90.00 95.70 90.00
Atoms (fractional coordinates):
Sr1 0.2257 0.0984 0.3093
Sr2 0.2257 0.4016 0.8093
Sr3 0.7743 0.5984 0.1907
Sr4 0.7743 0.9016 0.6907
Cu1 0.4169 0.5213 0.1337
Cu2 0.4169 0.9787 0.6337
Cu3 0.5831 0.0213 0.3663
Cu4 0.5831 0.4787 0.8663
Te1 0.5000 0.0000 0.0000
Te2 0.5000 0.5000 0.5000
Br1 0.1083 0.6068 0.1669
Br2 0.1083 0.8932 0.6669
Br3 0.8917 0.1068 0.3331
Br4 0.8917 0.3932 0.8331
O1 0.3367 0.1948 0.0539
O2 0.3367 0.3052 0.5539
O3 0.3791 0.7088 0.9545
O4 0.3791 0.7912 0.4545
O5 0.4722 0.1648 0.8099
O6 0.4722 0.3352 0.3099
O7 0.5278 0.6648 0.6901
O8 0.5278 0.8352 0.1901
O9 0.6209 0.2088 0.5455
O10 0.6209 0.2912 0.0455
O11 0.6633 0.6948 0.4461
O12 0.6633 0.8052 0.9461

The 12 most intense peaks (5° ≤ 2θ ≤ 70°), in order of rising 2θ:
2θ 9.3, intensity 100; 2θ 20.2, intensity 17; 2θ 21.9, intensity 47; 2θ 25.3, intensity 32; 2θ 28.3, intensity 17; 2θ 32.5, intensity 28; 2θ 33.0, intensity 16; 2θ 33.2, intensity 81; 2θ 33.6, intensity 64; 2θ 35.2, intensity 53; 2θ 42.0, intensity 19; 2θ 53.4, intensity 18

---

Starting from a crystal structure in Alexandria, relaxed with GGA-PBE, the powder XRD pattern of CuOsPb2Br was calculated for copper Kα.

Structure:
abc: 5.3065 5.3065 5.1863
angles: 90.00 90.00 90.00
Atoms (fractional coordinates):
Cu1 0.0000 0.0000 0.0000
Os1 0.5000 0.5000 0.5000
Pb1 0.0000 0.5000 0.5000
Pb2 0.5000 0.0000 0.5000
Br1 0.5000 0.5000 0.0000

The 12 most intense peaks (5° ≤ 2θ ≤ 70°), in order of rising 2θ:
2θ 16.7, intensity 40; 2θ 17.1, intensity 89; 2θ 24.0, intensity 25; 2θ 29.4, intensity 72; 2θ 33.8, intensity 100; 2θ 34.6, intensity 47; 2θ 38.1, intensity 52; 2θ 48.5, intensity 36; 2θ 49.1, intensity 70; 2θ 51.8, intensity 22; 2θ 57.7, intensity 22; 2θ 61.0, intensity 37

---

Starting from a crystal structure in Alexandria, relaxed with GGA-PBE, the powder XRD pattern of Pm8CuOs3Br4 was calculated for copper Kα.

Structure:
abc: 9.1359 9.1359 9.1359
angles: 53.44 53.44 53.44
Atoms (fractional coordinates):
Pm1 0.2197 0.7383 0.7383
Pm2 0.2334 0.2334 0.2334
Pm3 0.2617 0.2617 0.7803
Pm4 0.2617 0.7803 0.2617
Pm5 0.7383 0.2197 0.7383
Pm6 0.7383 0.7383 0.2197
Pm7 0.7666 0.7666 0.7666
Pm8 0.7803 0.2617 0.2617
Cu1 0.5000 0.5000 0.5000
Os1 0.0000 0.0000 0.5000
Os2 0.0000 0.5000 0.0000
Os3 0.5000 0.0000 0.0000
Br1 0.0000 0.0000 0.0000
Br2 0.0000 0.5000 0.5000
Br3 0.5000 0.0000 0.5000
Br4 0.5000 0.5000 0.0000

The 12 most intense peaks (5° ≤ 2θ ≤ 70°), in order of rising 2θ:
2θ 11.3, intensity 33; 2θ 29.4, intensity 100; 2θ 36.9, intensity 17; 2θ 39.9, intensity 31; 2θ 44.1, intensity 36; 2θ 45.7, intensity 7; 2θ 49.9, intensity 11; 2θ 53.9, intensity 18; 2θ 58.8, intensity 5; 2θ 60.9, intensity 9; 2θ 66.0, intensity 8; 2θ 68.8, intensity 4

---

Starting from a crystal structure in Alexandria, relaxed with GGA-PBE, the powder XRD pattern of Cu6PS5Br was calculated for copper Kα.

Structure:
abc: 6.8442 6.8442 11.9685
angles: 106.60 106.60 60.01
Atoms (fractional coordinates):
Cu1 0.0166 0.9834 0.5000
Cu2 0.1159 0.2081 0.7232
Cu3 0.2081 0.1159 0.2232
Cu4 0.3440 0.6171 0.7229
Cu5 0.4462 0.5176 0.4995
Cu6 0.4827 0.9469 0.4995
Cu7 0.5176 0.4462 0.9995
Cu8 0.6171 0.3440 0.2229
Cu9 0.7072 0.8478 0.7230
Cu10 0.8478 0.7072 0.2230
Cu11 0.9469 0.4827 0.9995
Cu12 0.9834 0.0166 0.0000
P1 0.4777 0.9771 0.9857
P2 0.9771 0.4777 0.4857
S1 0.0380 0.5395 0.6703
S2 0.2759 0.2839 0.9221
S3 0.2839 0.2759 0.4221
S4 0.3091 0.7753 0.9221
S5 0.3570 0.8574 0.6247
S6 0.5395 0.0380 0.1703
S7 0.7753 0.3091 0.4221
S8 0.7843 0.8090 0.9220
S9 0.8090 0.7843 0.4220
S10 0.8574 0.3570 0.1247
Br1 0.2283 0.7272 0.2366
Br2 0.7272 0.2283 0.7366

The 12 most intense peaks (5° ≤ 2θ ≤ 70°), in order of rising 2θ:
2θ 27.2, intensity 57; 2θ 30.4, intensity 16; 2θ 31.7, intensity 53; 2θ 32.0, intensity 100; 2θ 35.4, intensity 18; 2θ 37.0, intensity 36; 2θ 40.4, intensity 16; 2θ 48.3, intensity 17; 2θ 48.7, intensity 17; 2θ 48.8, intensity 42; 2θ 53.1, intensity 40; 2θ 53.6, intensity 21

---

Starting from a crystal structure in Alexandria, relaxed with GGA-PBE, the powder XRD pattern of Cu3P4S3Br3 was calculated for copper Kα.

Structure:
abc: 19.2235 9.9290 6.7502
angles: 90.00 90.00 90.00
Atoms (fractional coordinates):
Cu1 0.1343 0.2500 0.0467
Cu2 0.1890 0.0184 0.5575
Cu3 0.1890 0.4816 0.5575
Cu4 0.3110 0.5184 0.0575
Cu5 0.3110 0.9816 0.0575
Cu6 0.3657 0.7500 0.5467
Cu7 0.6343 0.2500 0.4533
Cu8 0.6890 0.0184 0.9425
Cu9 0.6890 0.4816 0.9425
Cu10 0.8110 0.5184 0.4425
Cu11 0.8110 0.9816 0.4425
Cu12 0.8657 0.7500 0.9533
P1 0.0231 0.2500 0.1138
P2 0.1180 0.6348 0.6806
P3 0.1180 0.8652 0.6806
P4 0.1457 0.7500 0.9581
P5 0.3543 0.2500 0.4581
P6 0.3820 0.1348 0.1806
P7 0.3820 0.3652 0.1806
P8 0.4769 0.7500 0.6138
P9 0.5231 0.2500 0.3862
P10 0.6180 0.6348 0.8194
P11 0.6180 0.8652 0.8194
P12 0.6457 0.7500 0.5419
P13 0.8543 0.2500 0.0419
P14 0.8820 0.1348 0.3194
P15 0.8820 0.3652 0.3194
P16 0.9769 0.7500 0.8862
S1 0.0125 0.5864 0.7136
S2 0.0125 0.9136 0.7136
S3 0.0523 0.7500 0.1170
S4 0.4477 0.2500 0.6170
S5 0.4875 0.0864 0.2136
S6 0.4875 0.4136 0.2136
S7 0.5125 0.5864 0.7864
S8 0.5125 0.9136 0.7864
S9 0.5523 0.7500 0.3830
S10 0.9477 0.2500 0.8830
S11 0.9875 0.0864 0.2864
S12 0.9875 0.4136 0.2864
Br1 0.1604 0.2500 0.6888
Br2 0.1941 0.0475 0.1928
Br3 0.1941 0.4525 0.1928
Br4 0.3059 0.5475 0.6928
Br5 0.3059 0.9525 0.6928
Br6 0.3396 0.7500 0.1888
Br7 0.6604 0.2500 0.8112
Br8 0.6941 0.0475 0.3072
Br9 0.6941 0.4525 0.3072
Br10 0.8059 0.5475 0.8072
Br11 0.8059 0.9525 0.8072
Br12 0.8396 0.7500 0.3112

The 12 most intense peaks (5° ≤ 2θ ≤ 70°), in order of rising 2θ:
2θ 9.2, intensity 100; 2θ 12.8, intensity 37; 2θ 20.1, intensity 60; 2θ 20.5, intensity 50; 2θ 22.7, intensity 52; 2θ 26.8, intensity 87; 2θ 27.8, intensity 54; 2θ 29.0, intensity 49; 2θ 30.1, intensity 45; 2θ 46.5, intensity 47; 2θ 46.7, intensity 35; 2θ 51.0, intensity 42